Diffraction record for Mn2Al2O7. The powder XRD pattern is simulated, not measured: it uses a DFT-relaxed cell (PBE+U, Alexandria) and Cu Kα.
Intensities are scaled so that the largest is 100.

Most intense lines, 10 to 90 degrees two-theta, by intensity:
- 18.12 deg, intensity 100, hkl 0 1 -1
- 11.07 deg, intensity 55, hkl 0 0 1
- 37.81 deg, intensity 13, hkl 1 0 -2
- 43.74 deg, intensity 12, hkl 0 3 1
- 32.32 deg, intensity 11, hkl 1 0 -1
- 46.05 deg, intensity 10, hkl 1 0 3
- 46.25 deg, intensity 10, hkl 1 1 -3
- 38.03 deg, intensity 7, hkl 1 0 2
- 26.76 deg, intensity 7, hkl 0 1 -2
- 35.42 deg, intensity 7, hkl 0 2 2

a = 3.026 Å, b = 6.542 Å, c = 7.997 Å
α = 87.95°, β = 89.81°, γ = 76.84°
Space group P-1 (No. 2)
Symmetry-distinct sites (fractional):
1 Mn 0.184 0.132 0.114 [2 per cell]
2 Al 0.450 0.600 0.692 [2 per cell]
3 O 0.040 0.424 0.190 [2 per cell]
4 O 0.308 0.887 0.731 [2 per cell]
5 O 0.326 0.845 0.045 [2 per cell]
6 O 0.500 0.500 0.500 [1 per cell]



Diffraction record for Pr2MnAlO6. The powder XRD pattern is simulated, not measured: it uses a DFT-relaxed cell (PBE+U, Alexandria) and Cu Kα.
Intensities are scaled so that the largest is 100.

Most intense lines, 10 to 90 degrees two-theta, by intensity:
- 32.81 deg, intensity 100, hkl 1 1 0
- 58.57 deg, intensity 38, hkl 2 1 2
- 47.08 deg, intensity 34, hkl 2 0 0
- 40.47 deg, intensity 30, hkl 1 1 2
- 23.04 deg, intensity 29, hkl 1 0 0
- 68.78 deg, intensity 20, hkl 2 2 0
- 53.04 deg, intensity 14, hkl 2 1 0
- 78.27 deg, intensity 11, hkl 3 1 0
- 87.54 deg, intensity 7, hkl 2 2 4
- 73.60 deg, intensity 7, hkl 3 0 0

a = 3.863 Å, b = 3.863 Å, c = 7.712 Å
α = 90.00°, β = 90.00°, γ = 90.00°
Space group P4/mmm (No. 123)
Symmetry-distinct sites (fractional):
1 Pr 0.000 0.000 0.246 [2 per cell]
2 Mn 0.500 0.500 0.500 [1 per cell]
3 Al 0.500 0.500 0.000 [1 per cell]
4 O 0.000 0.500 0.000 [2 per cell]
5 O 0.000 0.500 0.500 [2 per cell]
6 O 0.500 0.500 0.241 [2 per cell]



Diffraction record for Pr4MnAl3O12. The powder XRD pattern is simulated, not measured: it uses a DFT-relaxed cell (PBE+U, Alexandria) and Cu Kα.
Intensities are scaled so that the largest is 100.

Most intense lines, 10 to 90 degrees two-theta, by intensity:
- 33.30 deg, intensity 100, hkl 2 2 0
- 59.50 deg, intensity 39, hkl 4 2 2
- 23.38 deg, intensity 38, hkl 2 0 0
- 41.08 deg, intensity 36, hkl 2 2 2
- 47.80 deg, intensity 35, hkl 4 0 0
- 69.92 deg, intensity 20, hkl 4 4 0
- 53.87 deg, intensity 18, hkl 4 2 0
- 79.68 deg, intensity 17, hkl 6 2 0
- 84.43 deg, intensity 11, hkl 6 2 2
- 74.86 deg, intensity 9, hkl 6 0 0

a = 7.611 Å, b = 7.611 Å, c = 7.611 Å
α = 90.00°, β = 90.00°, γ = 90.00°
Space group Im-3m (No. 229)
Symmetry-distinct sites (fractional):
1 Pr 0.250 0.250 0.250 [8 per cell]
2 Mn 0.000 0.000 0.000 [2 per cell]
3 Al 0.000 0.000 0.500 [6 per cell]
4 O 0.000 0.000 0.254 [12 per cell]
5 O 0.000 0.250 0.500 [12 per cell]



Diffraction record for Mn13Al4Si2Sb2O28. The powder XRD pattern is simulated, not measured: it uses a DFT-relaxed cell (PBE+U, Alexandria) and Cu Kα.
Intensities are scaled so that the largest is 100.

Most intense lines, 10 to 90 degrees two-theta, by intensity:
- 29.63 deg, intensity 100, hkl 0 0 3
- 33.84 deg, intensity 88, hkl 1 7 1
- 31.37 deg, intensity 68, hkl 1 7 0
- 35.56 deg, intensity 66, hkl 1 7 -2
- 56.10 deg, intensity 50, hkl 3 7 -1
- 31.89 deg, intensity 41, hkl 2 0 -1
- 45.83 deg, intensity 39, hkl 1 7 3
- 34.62 deg, intensity 35, hkl 2 0 -2
- 55.28 deg, intensity 33, hkl 0 14 0
- 19.64 deg, intensity 32, hkl 0 0 2

a = 5.656 Å, b = 23.258 Å, c = 9.203 Å
α = 90.00°, β = 100.67°, γ = 90.00°
Space group C2/m (No. 12)
Symmetry-distinct sites (fractional):
1 Mn 0.000 0.000 0.000 [2 per cell]
2 Mn 0.000 0.287 0.000 [4 per cell]
3 Mn 0.000 0.427 0.000 [4 per cell]
4 Mn 0.217 0.147 0.644 [8 per cell]
5 Mn 0.224 0.430 0.650 [8 per cell]
6 Al 0.238 0.285 0.683 [8 per cell]
7 Si 0.237 0.000 0.689 [4 per cell]
8 Sb 0.000 0.141 0.000 [4 per cell]
9 O 0.057 0.000 0.350 [4 per cell]
10 O 0.079 0.274 0.351 [8 per cell]
11 O 0.155 0.441 0.380 [8 per cell]
12 O 0.172 0.152 0.401 [8 per cell]
13 O 0.184 0.500 0.129 [4 per cell]
14 O 0.188 0.207 0.117 [8 per cell]
15 O 0.194 0.078 0.115 [8 per cell]
16 O 0.237 0.355 0.120 [8 per cell]



Diffraction record for MnAl6Si4O19. The powder XRD pattern is simulated, not measured: it uses a DFT-relaxed cell (PBE+U, Alexandria) and Cu Kα.
Intensities are scaled so that the largest is 100.

Most intense lines, 10 to 90 degrees two-theta, by intensity:
- 20.80 deg, intensity 100, hkl 1 0 2
- 28.62 deg, intensity 81, hkl 3 0 -2
- 31.50 deg, intensity 51, hkl 0 0 4
- 27.87 deg, intensity 50, hkl 3 0 -1
- 25.50 deg, intensity 50, hkl 2 0 -3
- 64.85 deg, intensity 49, hkl 0 4 0
- 39.35 deg, intensity 47, hkl 0 2 3
- 58.39 deg, intensity 45, hkl 5 2 -3
- 24.87 deg, intensity 40, hkl 2 1 0
- 60.09 deg, intensity 39, hkl 2 2 5

a = 9.619 Å, b = 5.751 Å, c = 11.941 Å
α = 90.00°, β = 107.95°, γ = 90.00°
Space group P2_1/m (No. 11)
Symmetry-distinct sites (fractional):
1 Mn 0.137 0.250 0.375 [2 per cell]
2 Al 0.093 0.002 0.835 [4 per cell]
3 Al 0.178 0.250 0.096 [2 per cell]
4 Al 0.408 0.250 0.865 [2 per cell]
5 Al 0.434 0.009 0.307 [4 per cell]
6 Si 0.009 0.750 0.416 [2 per cell]
7 Si 0.176 0.750 0.094 [2 per cell]
8 Si 0.329 0.750 0.467 [2 per cell]
9 Si 0.397 0.750 0.850 [2 per cell]
10 O 0.011 0.014 0.670 [4 per cell]
11 O 0.035 0.750 0.144 [2 per cell]
12 O 0.043 0.250 0.172 [2 per cell]
13 O 0.125 0.250 0.525 [2 per cell]
14 O 0.161 0.513 0.013 [4 per cell]
15 O 0.173 0.750 0.508 [2 per cell]
16 O 0.218 0.250 0.846 [2 per cell]
17 O 0.220 0.750 0.835 [2 per cell]
18 O 0.287 0.009 0.389 [4 per cell]
19 O 0.332 0.750 0.196 [2 per cell]
20 O 0.339 0.250 0.211 [2 per cell]
21 O 0.430 0.507 0.788 [4 per cell]
22 O 0.450 0.750 0.603 [2 per cell]
23 O 0.484 0.750 0.401 [2 per cell]
24 O 0.487 0.750 0.988 [2 per cell]



Diffraction record for Mn2Al4Si5O18. The powder XRD pattern is simulated, not measured: it uses a DFT-relaxed cell (PBE+U, Alexandria) and Cu Kα.
Intensities are scaled so that the largest is 100.

Most intense lines, 10 to 90 degrees two-theta, by intensity:
- 10.17 deg, intensity 100, hkl 1 1 0
- 21.50 deg, intensity 62, hkl 1 1 2
- 10.05 deg, intensity 55, hkl 0 2 0
- 25.89 deg, intensity 51, hkl 1 3 2
- 26.03 deg, intensity 29, hkl 2 0 2
- 27.97 deg, intensity 22, hkl 2 2 2
- 28.86 deg, intensity 21, hkl 3 1 1
- 28.51 deg, intensity 21, hkl 1 5 1
- 28.65 deg, intensity 18, hkl 2 4 1
- 53.22 deg, intensity 17, hkl 2 6 4

a = 10.003 Å, b = 17.599 Å, c = 9.391 Å
α = 90.00°, β = 90.00°, γ = 90.00°
Space group Cccm (No. 66)
Symmetry-distinct sites (fractional):
1 Mn 0.000 0.163 0.250 [8 per cell]
2 Al 0.194 0.047 0.000 [8 per cell]
3 Al 0.250 0.250 0.250 [8 per cell]
4 Si 0.000 0.000 0.250 [4 per cell]
5 Si 0.082 0.312 0.000 [8 per cell]
6 Si 0.230 0.365 0.500 [8 per cell]
7 O 0.073 0.339 0.500 [8 per cell]
8 O 0.086 0.059 0.151 [16 per cell]
9 O 0.106 0.258 0.141 [16 per cell]
10 O 0.186 0.381 0.000 [8 per cell]
11 O 0.198 0.173 0.358 [16 per cell]
12 O 0.247 0.455 0.500 [8 per cell]



Diffraction record for MnAlSiO5. The powder XRD pattern is simulated, not measured: it uses a DFT-relaxed cell (PBE+U, Alexandria) and Cu Kα.
Intensities are scaled so that the largest is 100.

Most intense lines, 10 to 90 degrees two-theta, by intensity:
- 15.38 deg, intensity 100, hkl 1 1 0
- 34.98 deg, intensity 60, hkl 3 1 0
- 31.04 deg, intensity 52, hkl 2 2 0
- 18.94 deg, intensity 49, hkl 1 0 1
- 60.00 deg, intensity 28, hkl 2 4 2
- 38.32 deg, intensity 23, hkl 0 2 2
- 21.88 deg, intensity 20, hkl 1 1 1
- 39.98 deg, intensity 18, hkl 3 2 0
- 47.31 deg, intensity 15, hkl 1 3 2
- 24.52 deg, intensity 12, hkl 2 1 0

a = 8.097 Å, b = 8.202 Å, c = 5.732 Å
α = 90.00°, β = 90.00°, γ = 90.00°
Space group Pnnm (No. 58)
Symmetry-distinct sites (fractional):
1 Mn 0.000 0.000 0.245 [4 per cell]
2 Al 0.124 0.363 0.000 [4 per cell]
3 Si 0.250 0.245 0.500 [4 per cell]
4 O 0.073 0.140 0.000 [4 per cell]
5 O 0.074 0.139 0.500 [4 per cell]
6 O 0.105 0.601 0.000 [4 per cell]
7 O 0.249 0.855 0.238 [8 per cell]



Diffraction record for SrMnAlO4. The powder XRD pattern is simulated, not measured: it uses a DFT-relaxed cell (PBE+U, Alexandria) and Cu Kα.
Intensities are scaled so that the largest is 100.

Most intense lines, 10 to 90 degrees two-theta, by intensity:
- 23.28 deg, intensity 100, hkl 1 1 0
- 31.80 deg, intensity 51, hkl 0 2 0
- 40.67 deg, intensity 44, hkl 1 1 2
- 41.53 deg, intensity 37, hkl 2 1 -2
- 32.89 deg, intensity 29, hkl 1 1 -2
- 47.61 deg, intensity 27, hkl 2 2 0
- 43.08 deg, intensity 26, hkl 0 2 2
- 32.54 deg, intensity 22, hkl 0 1 2
- 38.16 deg, intensity 16, hkl 2 0 -2
- 43.35 deg, intensity 15, hkl 1 2 -2

a = 5.420 Å, b = 5.627 Å, c = 6.573 Å
α = 90.00°, β = 106.29°, γ = 90.00°
Space group P2_1/m (No. 11)
Symmetry-distinct sites (fractional):
1 Sr 0.248 0.250 0.447 [2 per cell]
2 Mn 0.295 0.250 0.960 [2 per cell]
3 Al 0.230 0.750 0.155 [2 per cell]
4 O 0.012 0.750 0.313 [2 per cell]
5 O 0.014 0.250 0.085 [2 per cell]
6 O 0.461 0.517 0.201 [4 per cell]



Diffraction record for TiMnAl2O6. The powder XRD pattern is simulated, not measured: it uses a DFT-relaxed cell (PBE+U, Alexandria) and Cu Kα.
Intensities are scaled so that the largest is 100.

Most intense lines, 10 to 90 degrees two-theta, by intensity:
- 33.67 deg, intensity 100, hkl 1 0 4
- 35.70 deg, intensity 63, hkl 1 1 0
- 24.35 deg, intensity 50, hkl 0 1 2
- 54.87 deg, intensity 49, hkl 2 -1 6
- 49.89 deg, intensity 49, hkl 0 2 4
- 41.16 deg, intensity 40, hkl 1 1 3
- 64.14 deg, intensity 38, hkl 3 0 0
- 62.85 deg, intensity 37, hkl 3 -1 4
- 73.73 deg, intensity 17, hkl 1 0 10
- 43.69 deg, intensity 16, hkl 2 0 2

a = 5.0296 Å, b = 5.0296 Å, c = 13.4496 Å
α = 90.00°, β = 90.00°, γ = 120.00°
Space group R3 (No. 146, hexagonal axes)
Symmetry-distinct sites (fractional):
1 Ti 0.0000 0.0000 0.0000 [3 per cell]
2 Mn 0.0000 0.0000 0.5123 [3 per cell]
3 Al 0.0000 0.0000 0.2925 [3 per cell]
4 Al 0.0000 0.0000 0.7935 [3 per cell]
5 O 0.0087 0.3614 0.0529 [9 per cell]
6 O 0.0206 0.6150 0.5585 [9 per cell]